Diffraction record for Pm5Y8Th. The X-ray diffraction stick pattern is theoretical, not measured: it uses a PBE-relaxed structure and Cu Ka.
Peak positions follow from Bragg's law for the DFT cell and can differ from measured ones.

Peak list (12 most intense, 5 to 70 degrees two-theta, sorted by position)
d (Å), Position (°2θ), I_rel
4.075, 21.81, 25
3.992, 22.27, 50
3.188, 27.99, 89
3.084, 28.95, 96
3.071, 29.07, 96
2.665, 33.63, 100
2.626, 34.14, 67
2.603, 34.45, 68
2.172, 41.58, 30
1.577, 58.52, 25
1.536, 60.26, 23
1.479, 62.83, 29

Atomic structure:
```
14
Lattice="-4.8564 4.8564 5.0626 4.8564 -4.8564 5.0626 4.8564 4.8564 -5.0626" Properties=species:S:1:pos:R:3 pbc="T T T"
Pm 0.0000 0.0000 0.0000
Pm 2.0943 -1.1038 4.2385
Pm 3.7526 2.7621 0.8242
Pm 2.7621 5.9602 -0.8242
Pm 1.1038 2.0943 5.8868
Y 3.1765 -0.6824 0.9007
Y 4.0113 3.1558 -2.5108
Y 6.5364 0.6824 0.9007
Y 5.5389 -1.6799 4.1619
Y 0.8451 1.7006 2.5518
Y 4.1740 1.6799 4.1619
Y 1.7006 -0.8451 7.5734
Y 3.1558 5.7016 2.5108
Th 0.0000 4.8564 2.5313
```